# 1
Computed powder X-ray diffraction pattern
Compound: Gd2ZrSe5
Radiation: Cu Kα X-rays
Structure: a DFT-relaxed cell (GGA-PBE, the Materials Project)
No peak broadening, texture or thermal motion is included.

Atomic structure:
a b c (Å): 12.184 8.190 7.665
angles (deg): 90.00 90.00 90.00
Space group Pnma (No. 62)
One atom of each set of equivalent atoms:
Gd 0.179 0.003 0.025 [8 per cell]
Zr 0.006 0.750 0.577 [4 per cell]
Se 0.003 0.750 0.948 [4 per cell]
Se 0.092 0.037 0.663 [8 per cell]
Se 0.182 0.750 0.333 [4 per cell]
Se 0.208 0.250 0.313 [4 per cell]

Largest 8 diffraction maxima, in order of rising 2θ, 2θ from 10° to 90°:
| Position (°2θ) | I/Imax | hkl |
| --- | --- | --- |
| 24.81 | 41.2 | 3 0 1 |
| 31.61 | 35.0 | 4 0 1 |
| 32.84 | 55.7 | 1 2 2 |
| 33.19 | 84.2 | 3 2 1 |
| 35.30 | 100.0 | 2 2 2 |
| 36.78 | 42.1 | 4 2 0 |
| 44.24 | 44.5 | 0 4 0 |
| 44.87 | 45.5 | 5 2 1 |

# 2
Computed powder X-ray diffraction pattern
Compound: MgTiSnO4
Radiation: Cu Kα X-rays
Structure: a DFT-relaxed cell (GGA-PBE, the Materials Project)
No peak broadening, texture or thermal motion is included.

Atomic structure:
a b c (Å): 3.282 3.826 7.987
angles (deg): 77.36 88.56 89.99
Space group P1 (No. 1)
One atom of each set of equivalent atoms:
Mg 0.000 0.000 0.000 [1 per cell]
Ti 0.505 0.388 0.237 [1 per cell]
Sn 0.422 0.556 0.655 [1 per cell]
O 0.457 0.908 0.202 [1 per cell]
O 0.513 0.092 0.838 [1 per cell]
O 0.644 0.300 0.458 [1 per cell]
O 0.984 0.457 0.097 [1 per cell]

Largest 8 diffraction maxima, in order of rising 2θ, 2θ from 10° to 90°:
| Position (°2θ) | I/Imax | hkl |
| --- | --- | --- |
| 22.83 | 69.7 | 0 0 2 |
| 23.84 | 44.5 | 0 1 0 |
| 27.18 | 61.6 | 1 0 0 |
| 28.69 | 45.0 | 0 1 -1 |
| 29.28 | 100.0 | 0 1 2 |
| 36.25 | 42.0 | 1 0 -2 |
| 36.54 | 39.4 | 1 1 0 |
| 36.79 | 31.3 | 0 1 -2 |

# 3
Computed powder X-ray diffraction pattern
Compound: RuO2
Radiation: Cu Kα X-rays
Structure: a DFT-relaxed cell (GGA-PBE, the Materials Project)
No peak broadening, texture or thermal motion is included.

Atomic structure:
a b c (Å): 4.898 4.898 4.898
angles (deg): 90.00 90.00 90.00
Space group Pa-3 (No. 205)
One atom of each set of equivalent atoms:
Ru 0.000 0.000 0.000 [4 per cell]
O 0.149 0.649 0.851 [8 per cell]

Largest 8 diffraction maxima, in order of rising 2θ, 2θ from 10° to 90°:
| Position (°2θ) | I/Imax | hkl |
| --- | --- | --- |
| 31.64 | 100.0 | 1 1 1 |
| 36.69 | 47.0 | 2 0 0 |
| 41.21 | 4.6 | 2 1 0 |
| 52.87 | 41.4 | 2 2 0 |
| 62.93 | 54.1 | 3 1 1 |
| 66.08 | 13.0 | 2 2 2 |
| 86.63 | 14.8 | 3 3 1 |
| 89.47 | 19.7 | 4 2 0 |